[1]
Structure and computed X-ray powder pattern of BaCu2Hg2O4 (a cell relaxed with GGA-PBE; Cu Kα X-rays).
Neutral-atom scattering factors, no anomalous dispersion.

Peak list (10 most intense, 2θ = 5–70°, by angle)
h k l, 2θ/deg, I (rel.)
1 1 0, 18.02, 52.9
2 0 0, 25.59, 34.6
2 0 1, 28.96, 39.2
1 1 2, 32.54, 100.0
2 2 0, 36.50, 67.6
2 0 2, 37.44, 29.7
3 1 2, 49.70, 58.7
4 0 0, 52.58, 22.3
3 3 2, 63.21, 16.2
2 2 4, 68.15, 19.8

Atomic structure:
abc: 6.9623 6.9623 6.6372
angles: 90.00 90.00 90.00
Space group P4/nbm (No. 125, origin choice 2)
Inequivalent atoms, fractional coordinates:
Ba (0.2500, 0.2500, 0.0000) (multiplicity 2)
Cu (0.0000, 0.0000, 0.5000) (multiplicity 4)
Hg (0.2500, 0.7500, 0.2406) (multiplicity 4)
O (0.0391, 0.5391, 0.2284) (multiplicity 8)

***

[2]
Structure and computed X-ray powder pattern of Hf2FeTc (a cell relaxed with GGA-PBE; Cu Kα X-rays).
Neutral-atom scattering factors, no anomalous dispersion.

Peak list (7 most intense, 2θ = 5–70°, by angle)
h k l, 2θ/deg, I (rel.)
1 1 1, 24.05, 1.7
2 0 0, 27.84, 17.7
2 2 0, 39.77, 100.0
3 1 1, 47.02, 0.8
2 2 2, 49.24, 5.3
4 0 0, 57.51, 16.9
4 2 0, 65.07, 7.3

Atomic structure:
abc: 6.4101 6.4101 6.4101
angles: 90.00 90.00 90.00
Space group Fm-3m (No. 225)
Inequivalent atoms, fractional coordinates:
Hf (0.2500, 0.2500, 0.2500) (multiplicity 8)
Fe (0.0000, 0.0000, 0.0000) (multiplicity 4)
Tc (0.0000, 0.0000, 0.5000) (multiplicity 4)

***

[3]
Structure and computed X-ray powder pattern of LaZnO3 (a cell relaxed with GGA-PBE; Cu Kα X-rays).
Neutral-atom scattering factors, no anomalous dispersion.

Peak list (7 most intense, 2θ = 5–70°, by angle)
h k l, 2θ/deg, I (rel.)
1 0 0, 22.64, 7.3
1 1 0, 32.23, 100.0
1 1 1, 39.75, 13.2
2 0 0, 46.22, 32.0
2 1 0, 52.06, 3.8
2 1 1, 57.47, 38.8
2 2 0, 67.44, 18.9

Atomic structure:
abc: 3.9281 3.9281 3.9281
angles: 90.00 90.00 90.00
Space group Pm-3m (No. 221)
Inequivalent atoms, fractional coordinates:
La (0.0000, 0.0000, 0.0000) (multiplicity 1)
Zn (0.5000, 0.5000, 0.5000) (multiplicity 1)
O (0.0000, 0.5000, 0.5000) (multiplicity 3)

***

[4]
Structure and computed X-ray powder pattern of MgTi2Ga4O10 (a cell relaxed with GGA-PBE; Cu Kα X-rays).
Neutral-atom scattering factors, no anomalous dispersion.

Peak list (10 most intense, 2θ = 5–70°, by angle)
h k l, 2θ/deg, I (rel.)
1 -1 0, 19.76, 35.2
0 1 -2, 25.19, 100.0
1 1 0, 33.03, 54.3
1 -2 0, 33.78, 35.0
2 -1 0, 34.61, 66.4
-1 1 2, 34.93, 76.9
1 0 2, 35.06, 65.5
2 0 -2, 42.60, 31.2
1 2 0, 51.28, 31.3
2 -3 2, 52.56, 31.7

Atomic structure:
abc: 5.1871 5.6338 7.6172
angles: 109.37 91.46 115.54
Space group P1 (No. 1)
Inequivalent atoms, fractional coordinates:
Mg (0.0000, 0.0000, 0.0000) (multiplicity 1)
Ti (0.7901, 0.5552, 0.1420) (multiplicity 1)
Ti (0.8000, 0.6138, 0.5719) (multiplicity 1)
Ga (0.1574, 0.3249, 0.4101) (multiplicity 1)
Ga (0.2169, 0.4284, 0.8699) (multiplicity 1)
Ga (0.4435, 0.8683, 0.3024) (multiplicity 1)
Ga (0.4687, 0.9191, 0.7619) (multiplicity 1)
O (0.0140, 0.5717, 0.3515) (multiplicity 1)
O (0.0578, 0.4571, 0.6500) (multiplicity 1)
O (0.1568, 0.0111, 0.7546) (multiplicity 1)
O (0.1916, 0.7711, 0.0651) (multiplicity 1)
O (0.3744, 0.4120, 0.1153) (multiplicity 1)
O (0.4629, 0.2332, 0.4382) (multiplicity 1)
O (0.5601, 0.7966, 0.5200) (multiplicity 1)
O (0.6084, 0.6615, 0.8263) (multiplicity 1)
O (0.8002, 0.2321, 0.9415) (multiplicity 1)
O (0.8364, 0.9649, 0.2396) (multiplicity 1)

***

[5]
Structure and computed X-ray powder pattern of NdRu2 (a cell relaxed with GGA-PBE; Cu Kα X-rays).
Neutral-atom scattering factors, no anomalous dispersion.

Peak list (10 most intense, 2θ = 5–70°, by angle)
h k l, 2θ/deg, I (rel.)
1 1 0, 33.62, 35.3
1 0 3, 35.18, 82.2
1 1 2, 39.07, 100.0
0 0 4, 39.25, 13.5
2 0 1, 40.29, 69.7
2 0 2, 43.90, 10.2
1 0 4, 44.06, 10.2
2 1 3, 61.14, 30.2
3 0 2, 63.79, 20.9
2 0 5, 64.88, 29.0

Atomic structure:
abc: 5.3308 5.3308 9.1820
angles: 90.00 90.00 120.00
Space group P6_3/mmc (No. 194)
Inequivalent atoms, fractional coordinates:
Nd (0.3333, 0.6667, 0.0664) (multiplicity 4)
Ru (0.0000, 0.0000, 0.0000) (multiplicity 2)
Ru (0.1702, 0.3404, 0.7500) (multiplicity 6)